Structure and computed PXRD pattern of TbY2In3Pd2Au (the GGA-PBE geometry in OQMD; Cu Kα).
Peak positions follow from Bragg's law for the DFT cell and can differ from measured ones.

Main lines, sorted by position (2θ = 5–70°):
two_theta  I/Imax
13.12  19
26.64  13
32.68  78
35.17  34
35.36  100
40.07  55
42.50  44
47.18  23
48.63  10
60.19  14
63.58  28
64.89  39

Crystal structure
a b c (Å): 3.853 7.791 7.791
angles (deg): 119.92 90.00 90.00
Sites, in units of the cell vectors:
Tb 0.000 0.000 0.000
Y 0.000 0.406 0.812
Y 0.000 0.812 0.406
In 0.500 0.138 0.407
In 0.500 0.407 0.138
In 0.500 0.674 0.674
Pd 0.500 0.073 0.740
Pd 0.500 0.740 0.073
Au 0.000 0.406 0.406



Structure and computed PXRD pattern of Os3S4 (the GGA-PBE geometry in OQMD; Cu Kα).
Peak positions follow from Bragg's law for the DFT cell and can differ from measured ones.

Main lines, sorted by position (2θ = 5–70°):
two_theta  I/Imax
17.41  21
17.97  30
29.16  100
29.37  33
30.39  45
35.25  19
36.43  48
45.42  33
46.76  31
47.31  45
50.90  23
53.24  30

Crystal structure
a b c (Å): 5.978 5.978 5.899
angles (deg): 115.41 115.41 34.93
Sites, in units of the cell vectors:
Os 0.000 0.000 0.000
Os 0.274 0.274 0.312
Os 0.726 0.726 0.688
S 0.104 0.104 0.453
S 0.362 0.362 0.017
S 0.638 0.638 0.983
S 0.896 0.896 0.547



Structure and computed PXRD pattern of Pr4Br4NCl (the GGA-PBE geometry in OQMD; Cu Kα).
Peak positions follow from Bragg's law for the DFT cell and can differ from measured ones.

Main lines, sorted by position (2θ = 5–70°):
two_theta  I/Imax
11.12  50
28.28  14
30.16  46
31.10  21
31.75  100
34.20  25
37.65  15
44.05  26
44.19  14
44.65  29
46.81  18
56.68  18

Crystal structure
a b c (Å): 9.366 9.366 8.200
angles (deg): 103.68 103.68 23.92
Sites, in units of the cell vectors:
Pr 0.001 0.001 0.289
Pr 0.361 0.361 0.421
Pr 0.639 0.639 0.579
Pr 0.999 0.999 0.711
Br 0.164 0.164 0.861
Br 0.171 0.171 0.323
Br 0.829 0.829 0.677
Br 0.836 0.836 0.139
N 0.500 0.500 0.500
Cl 0.500 0.500 0.000



Structure and computed PXRD pattern of CuAs4S3Cl (the GGA-PBE geometry in OQMD; Cu Kα).
Peak positions follow from Bragg's law for the DFT cell and can differ from measured ones.

Main lines, sorted by position (2θ = 5–70°):
two_theta  I/Imax
15.93  26
16.44  100
25.45  21
26.68  41
28.07  21
28.74  71
29.03  26
35.11  33
35.24  34
40.94  33
47.57  41
53.80  22

Crystal structure
a b c (Å): 11.130 11.232 7.373
angles (deg): 90.00 90.00 90.00
Sites, in units of the cell vectors:
Cu 0.192 0.250 0.000
Cu 0.192 0.250 0.500
Cu 0.808 0.750 0.000
Cu 0.808 0.750 0.500
As 0.137 0.553 0.080
As 0.137 0.553 0.420
As 0.137 0.947 0.580
As 0.137 0.947 0.920
As 0.248 0.713 0.250
As 0.248 0.787 0.750
As 0.425 0.059 0.750
As 0.425 0.441 0.250
As 0.575 0.559 0.750
As 0.575 0.941 0.250
As 0.752 0.213 0.250
As 0.752 0.287 0.750
As 0.863 0.053 0.080
As 0.863 0.053 0.420
As 0.863 0.447 0.580
As 0.863 0.447 0.920
S 0.290 0.074 0.514
S 0.290 0.074 0.986
S 0.290 0.426 0.014
S 0.290 0.426 0.486
S 0.438 0.641 0.250
S 0.438 0.859 0.750
S 0.562 0.141 0.250
S 0.562 0.359 0.750
S 0.710 0.574 0.514
S 0.710 0.574 0.986
S 0.710 0.926 0.014
S 0.710 0.926 0.486
Cl 0.056 0.231 0.250
Cl 0.056 0.269 0.750
Cl 0.944 0.731 0.250
Cl 0.944 0.769 0.750



Structure and computed PXRD pattern of Gd2DyZn3Pt2Au (the GGA-PBE geometry in OQMD; Cu Kα).
Peak positions follow from Bragg's law for the DFT cell and can differ from measured ones.

Main lines, sorted by position (2θ = 5–70°):
two_theta  I/Imax
24.09  30
26.92  18
33.53  68
36.44  100
37.18  22
42.38  45
44.16  36
46.94  23
49.34  12
57.10  13
65.08  25
68.35  30

Crystal structure
a b c (Å): 3.871 7.385 7.385
angles (deg): 119.93 90.00 90.00
Sites, in units of the cell vectors:
Gd 0.000 0.205 0.795
Gd 0.000 0.795 0.205
Dy 0.000 0.614 0.614
Zn 0.500 0.205 0.464
Zn 0.500 0.464 0.205
Zn 0.500 0.946 0.946
Pt 0.500 0.539 0.869
Pt 0.500 0.869 0.539
Au 0.000 0.207 0.207



Structure and computed PXRD pattern of ErMgAuO3 (the GGA-PBE geometry in OQMD; Cu Kα).
Peak positions follow from Bragg's law for the DFT cell and can differ from measured ones.

Main lines, sorted by position (2θ = 5–70°):
two_theta  I/Imax
17.93  57
27.29  46
29.71  91
32.21  52
33.70  100
35.73  64
36.32  26
40.25  97
50.38  66
56.31  25
67.07  32
67.39  19

Crystal structure
a b c (Å): 7.699 7.699 6.558
angles (deg): 90.00 90.00 156.51
Sites, in units of the cell vectors:
Er 0.000 0.000 0.000
Er 0.000 0.000 0.500
Mg 0.339 0.661 0.750
Mg 0.661 0.339 0.250
Au 0.322 0.678 0.250
Au 0.678 0.322 0.750
O 0.146 0.854 0.042
O 0.146 0.854 0.458
O 0.490 0.510 0.750
O 0.510 0.490 0.250
O 0.854 0.146 0.542
O 0.854 0.146 0.958



Structure and computed PXRD pattern of Na5Co2S4Br (the GGA-PBE geometry in OQMD; Cu Kα).
Peak positions follow from Bragg's law for the DFT cell and can differ from measured ones.

Main lines, sorted by position (2θ = 5–70°):
two_theta  I/Imax
13.77  31
19.52  75
26.18  89
27.74  55
31.98  48
32.87  16
39.64  57
40.36  34
42.84  100
49.35  20
51.81  39
67.15  23

Crystal structure
a b c (Å): 7.143 7.143 7.143
angles (deg): 100.92 100.92 128.40
Sites, in units of the cell vectors:
Na 0.000 0.000 0.000
Na 0.423 0.423 0.568
Na 0.423 0.856 0.000
Na 0.856 0.423 0.000
Na 0.856 0.856 0.432
Co 0.193 0.693 0.500
Co 0.693 0.193 0.500
S 0.256 0.944 0.313
S 0.631 0.944 0.687
S 0.944 0.256 0.313
S 0.944 0.631 0.687
Br 0.467 0.467 0.000



Structure and computed PXRD pattern of KNdSe2O8 (the GGA-PBE geometry in OQMD; Cu Kα).
Peak positions follow from Bragg's law for the DFT cell and can differ from measured ones.

Main lines, sorted by position (2θ = 5–70°):
two_theta  I/Imax
17.90  15
21.59  100
30.15  49
31.27  49
38.32  9
43.99  28
48.75  9
50.26  19
54.96  16
55.65  9
59.52  11
65.23  9

Crystal structure
a b c (Å): 5.721 5.721 7.398
angles (deg): 90.00 90.00 120.00
Sites, in units of the cell vectors:
K 0.000 0.000 0.000
Nd 0.000 0.000 0.500
Se 0.333 0.667 0.787
Se 0.667 0.333 0.213
O 0.177 0.354 0.703
O 0.177 0.823 0.703
O 0.333 0.667 0.008
O 0.354 0.177 0.297
O 0.646 0.823 0.703
O 0.667 0.333 0.992
O 0.823 0.177 0.297
O 0.823 0.646 0.297



Structure and computed PXRD pattern of Ge3IrPt (the GGA-PBE geometry in OQMD; Cu Kα).
Peak positions follow from Bragg's law for the DFT cell and can differ from measured ones.

Main lines, sorted by position (2θ = 5–70°):
two_theta  I/Imax
15.76  100
30.73  41
31.84  12
32.31  17
34.72  98
44.01  61
44.83  92
47.03  26
48.58  14
58.59  12
64.00  20
67.62  21

Crystal structure
a b c (Å): 6.330 6.330 6.330
angles (deg): 142.07 142.07 54.73
Sites, in units of the cell vectors:
Ge 0.000 0.000 0.000
Ge 0.339 0.839 0.500
Ge 0.839 0.339 0.500
Ir 0.213 0.213 0.000
Pt 0.688 0.688 0.000



Structure and computed PXRD pattern of Pd15Pb (the GGA-PBE geometry in OQMD; Cu Kα).
Peak positions follow from Bragg's law for the DFT cell and can differ from measured ones.

Main lines, sorted by position (2θ = 5–70°):
two_theta  I/Imax
6.34  53
12.69  5
37.70  10
38.89  77
40.18  100
45.51  23
46.19  51
46.24  6
47.80  5
66.85  29
67.38  18
68.66  6

Crystal structure
a b c (Å): 3.931 3.931 41.855
angles (deg): 90.00 90.00 90.00
Sites, in units of the cell vectors:
Pd 0.250 0.000 0.023
Pd 0.250 0.000 0.117
Pd 0.250 0.000 0.211
Pd 0.250 0.000 0.306
Pd 0.250 0.000 0.646
Pd 0.250 0.000 0.741
Pd 0.250 0.000 0.836
Pd 0.250 0.000 0.930
Pd 0.250 0.500 0.070
Pd 0.250 0.500 0.164
Pd 0.250 0.500 0.258
Pd 0.250 0.500 0.694
Pd 0.250 0.500 0.789
Pd 0.250 0.500 0.883
Pd 0.250 0.500 0.977
Pd 0.750 0.000 0.070
Pd 0.750 0.000 0.164
Pd 0.750 0.000 0.259
Pd 0.750 0.000 0.354
Pd 0.750 0.000 0.694
Pd 0.750 0.000 0.789
Pd 0.750 0.000 0.883
Pd 0.750 0.000 0.977
Pd 0.750 0.500 0.023
Pd 0.750 0.500 0.117
Pd 0.750 0.500 0.211
Pd 0.750 0.500 0.306
Pd 0.750 0.500 0.742
Pd 0.750 0.500 0.836
Pd 0.750 0.500 0.930
Pb 0.250 0.500 0.360
Pb 0.750 0.500 0.640



Structure and computed PXRD pattern of Ho3Hf4F (the GGA-PBE geometry in OQMD; Cu Kα).
Peak positions follow from Bragg's law for the DFT cell and can differ from measured ones.

Main lines, sorted by position (2θ = 5–70°):
two_theta  I/Imax
26.94  47
29.49  19
30.99  100
36.96  36
41.52  30
43.31  27
44.40  37
50.42  9
54.20  14
59.10  19
62.41  9
64.60  12

Crystal structure
a b c (Å): 7.305 7.305 7.305
angles (deg): 133.46 133.46 67.93
Sites, in units of the cell vectors:
Ho 0.000 0.000 0.000
Ho 0.250 0.750 0.500
Ho 0.750 0.250 0.500
Hf 0.000 0.500 0.500
Hf 0.331 0.331 0.000
Hf 0.500 0.000 0.500
Hf 0.669 0.669 0.000
F 0.500 0.500 0.000



Structure and computed PXRD pattern of Dy2Y2CI3Br2 (the GGA-PBE geometry in OQMD; Cu Kα).
Peak positions follow from Bragg's law for the DFT cell and can differ from measured ones.

Main lines, sorted by position (2θ = 5–70°):
two_theta  I/Imax
9.78  41
23.21  16
27.96  18
29.64  51
30.39  25
30.94  100
33.71  27
35.78  15
43.19  28
43.56  30
46.31  19
55.95  17

Crystal structure
a b c (Å): 9.473 9.473 8.554
angles (deg): 102.36 102.36 23.89
Sites, in units of the cell vectors:
Dy 0.001 0.001 0.310
Dy 0.999 0.999 0.690
Y 0.367 0.367 0.439
Y 0.633 0.633 0.561
C 0.500 0.500 0.500
I 0.168 0.168 0.839
I 0.500 0.500 0.000
I 0.832 0.832 0.161
Br 0.164 0.164 0.336
Br 0.836 0.836 0.664



Structure and computed PXRD pattern of LiBeMo2 (the GGA-PBE geometry in OQMD; Cu Kα).
Peak positions follow from Bragg's law for the DFT cell and can differ from measured ones.

Main lines, sorted by position (2θ = 5–70°):
two_theta  I/Imax
25.67  100
42.54  95
50.34  45
61.72  15
67.97  18

Crystal structure
a b c (Å): 4.251 4.251 4.251
angles (deg): 60.00 60.00 60.00
Sites, in units of the cell vectors:
Li 0.000 0.000 0.000
Be 0.750 0.750 0.750
Mo 0.250 0.250 0.250
Mo 0.500 0.500 0.500